# 1
Diffraction record for Er2CdOs. The XRD peak list is computed, not measured: it uses a cell relaxed with GGA-PBE and Cu Ka.
Lines closer than 0.1° are merged.

```
Er2CdOs
1.0
0.000 3.516 3.516
3.516 0.000 3.516
3.516 3.516 0.000
Er Cd Os
2 1 1
direct
0.250 0.250 0.250 Er
0.750 0.750 0.750 Er
0.000 0.000 0.000 Cd
0.500 0.500 0.500 Os
```

The 7 most intense peaks (2θ from 5° to 70°), by angle:
| Position (°2θ) | I (rel.) |
| --- | --- |
| 21.9 | 3 |
| 36.1 | 100 |
| 42.6 | 2 |
| 52.0 | 18 |
| 57.1 | 1 |
| 65.0 | 36 |
| 69.4 | 1 |



# 2
Diffraction record for Er4CdPd. The XRD peak list is computed, not measured: it uses a cell relaxed with GGA-PBE and Cu Ka.
Lines closer than 0.1° are merged.

```
Er4CdPd
1.0
0.000 6.800 6.800
6.800 0.000 6.800
6.800 6.800 0.000
Er Cd Pd
16 4 4
direct
0.183 0.183 0.817 Er
0.183 0.817 0.183 Er
0.183 0.817 0.817 Er
0.397 0.397 0.397 Er
0.397 0.397 0.810 Er
0.397 0.810 0.397 Er
0.561 0.561 0.939 Er
0.561 0.939 0.561 Er
0.561 0.939 0.939 Er
0.810 0.397 0.397 Er
0.817 0.183 0.183 Er
0.817 0.183 0.817 Er
0.817 0.817 0.183 Er
0.939 0.561 0.561 Er
0.939 0.561 0.939 Er
0.939 0.939 0.561 Er
0.168 0.168 0.168 Cd
0.168 0.168 0.497 Cd
0.168 0.497 0.168 Cd
0.497 0.168 0.168 Cd
0.182 0.606 0.606 Pd
0.606 0.182 0.606 Pd
0.606 0.606 0.182 Pd
0.606 0.606 0.606 Pd
```

The 10 most intense peaks (2θ from 5° to 70°), by angle:
| Position (°2θ) | I (rel.) |
| --- | --- |
| 28.6 | 26 |
| 32.2 | 48 |
| 34.3 | 100 |
| 37.4 | 30 |
| 39.2 | 6 |
| 51.6 | 8 |
| 55.3 | 9 |
| 57.5 | 45 |
| 58.8 | 13 |
| 68.7 | 16 |



# 3
Diffraction record for Er4CdPt. The XRD peak list is computed, not measured: it uses a cell relaxed with GGA-PBE and Cu Ka.
Lines closer than 0.1° are merged.

```
Er4CdPt
1.0
0.000 6.801 6.801
6.801 0.000 6.801
6.801 6.801 0.000
Er Cd Pt
16 4 4
direct
0.185 0.185 0.815 Er
0.185 0.815 0.185 Er
0.185 0.815 0.815 Er
0.398 0.398 0.398 Er
0.398 0.398 0.805 Er
0.398 0.805 0.398 Er
0.561 0.561 0.939 Er
0.561 0.939 0.561 Er
0.561 0.939 0.939 Er
0.805 0.398 0.398 Er
0.815 0.185 0.185 Er
0.815 0.185 0.815 Er
0.815 0.815 0.185 Er
0.939 0.561 0.561 Er
0.939 0.561 0.939 Er
0.939 0.939 0.561 Er
0.168 0.168 0.168 Cd
0.168 0.168 0.496 Cd
0.168 0.496 0.168 Cd
0.496 0.168 0.168 Cd
0.179 0.607 0.607 Pt
0.607 0.179 0.607 Pt
0.607 0.607 0.179 Pt
0.607 0.607 0.607 Pt
```

The 10 most intense peaks (2θ from 5° to 70°), by angle:
| Position (°2θ) | I (rel.) |
| --- | --- |
| 11.3 | 9 |
| 28.6 | 16 |
| 32.2 | 39 |
| 34.3 | 100 |
| 37.4 | 35 |
| 39.2 | 9 |
| 51.6 | 10 |
| 57.5 | 39 |
| 58.8 | 14 |
| 68.7 | 13 |